Record 1
This entry pairs a crystal structure of Be2Co2Tc with its calculated powder XRD pattern. Radiation: CuKα. Structure: the PBE geometry in Alexandria.
No peak broadening, texture or thermal motion is included.

Atomic structure:
Unit cell a=6.394 b=6.394 c=2.518 alpha=90.00 beta=90.00 gamma=90.00
Sites, in units of the cell vectors:
Be: 0.167 0.333 0.000
Be: 0.333 0.833 0.000
Be: 0.667 0.167 0.000
Be: 0.833 0.667 0.000
Co: 0.129 0.629 0.500
Co: 0.371 0.129 0.500
Co: 0.629 0.871 0.500
Co: 0.871 0.371 0.500
Tc: 0.000 0.000 0.500
Tc: 0.500 0.500 0.500

Largest 10 diffraction maxima, by intensity, 10° ≤ 2θ ≤ 90°:
Position (°2θ), I (rel.)
44.8, 1000
58.5, 757
35.7, 749
31.3, 618
48.2, 525
27.9, 489
45.9, 320
39.9, 260
86.8, 229
19.6, 218



Record 2
This entry pairs a crystal structure of TiBe9Co2 with its calculated powder XRD pattern. Radiation: CuKα. Structure: the PBE geometry in Alexandria.
No peak broadening, texture or thermal motion is included.

Atomic structure:
Unit cell a=7.172 b=7.172 c=7.172 alpha=34.39 beta=34.39 gamma=34.39
Sites, in units of the cell vectors:
Ti: 0.000 0.000 0.000
Be: 0.082 0.591 0.591
Be: 0.333 0.333 0.333
Be: 0.409 0.409 0.918
Be: 0.409 0.918 0.409
Be: 0.500 0.500 0.500
Be: 0.591 0.082 0.591
Be: 0.591 0.591 0.082
Be: 0.667 0.667 0.667
Be: 0.918 0.409 0.409
Co: 0.141 0.141 0.141
Co: 0.859 0.859 0.859

Largest 10 diffraction maxima, by intensity, 10° ≤ 2θ ≤ 90°:
Position (°2θ), I (rel.)
24.6, 1000
39.7, 738
42.6, 666
50.9, 517
13.1, 450
43.5, 381
49.9, 268
26.4, 259
30.1, 196
76.1, 188



Record 3
This entry pairs a crystal structure of Ti2Be16Co with its calculated powder XRD pattern. Radiation: CuKα. Structure: the PBE geometry in Alexandria.
No peak broadening, texture or thermal motion is included.

Atomic structure:
Unit cell a=5.569 b=5.569 c=5.569 alpha=83.21 beta=83.21 gamma=83.21
Sites, in units of the cell vectors:
Ti: 0.000 0.000 0.000
Ti: 0.326 0.326 0.326
Be: 0.008 0.008 0.501
Be: 0.008 0.501 0.008
Be: 0.163 0.659 0.659
Be: 0.315 0.315 0.815
Be: 0.315 0.815 0.315
Be: 0.369 0.658 0.948
Be: 0.369 0.948 0.658
Be: 0.501 0.008 0.008
Be: 0.658 0.369 0.948
Be: 0.658 0.948 0.369
Be: 0.659 0.163 0.659
Be: 0.659 0.659 0.163
Be: 0.763 0.763 0.763
Be: 0.815 0.315 0.315
Be: 0.948 0.369 0.658
Be: 0.948 0.658 0.369
Co: 0.563 0.563 0.563

Largest 10 diffraction maxima, by intensity, 10° ≤ 2θ ≤ 90°:
Position (°2θ), I (rel.)
24.1, 1000
42.3, 398
34.9, 396
49.3, 334
49.7, 273
21.6, 257
36.3, 238
50.8, 208
44.0, 202
16.1, 202